Calculated powder XRD pattern of Li8VNi3P6O24 for a wavelength of 1.5418 Å, from a cell relaxed with GGA+U.
Intensities are scaled so that the largest is 100.

Principal peaks in the range 10 to 90 degrees two-theta, by angle:
d (Å)  2θ/deg  I/Imax
6.121  14.47  20
4.418  20.10  31
4.244  20.93  67
3.704  24.02  100
3.060  29.18  31
2.863  31.24  21
2.694  33.25  49
2.550  35.19  32
2.516  35.69  20
1.669  55.03  34

```
42
Lattice="4.418 2.550 6.800 -4.418 2.550 6.800 0.000 -5.101 6.800" Properties=species:S:1:pos:R:3 pbc="T T T"
Li 0.000 0.000 0.000
Li -2.820 0.593 8.615
Li -2.035 -2.202 11.710
Li 0.897 -2.738 8.615
Li 0.000 0.000 10.042
Li -0.890 2.863 11.710
Li 1.923 2.146 8.615
Li 2.924 -0.661 11.710
V 0.000 0.000 13.150
Ni 0.000 0.000 2.979
Ni 0.000 0.000 7.232
Ni 0.000 0.000 17.430
P -1.797 -2.557 8.524
P -3.071 0.283 11.918
P -1.316 2.835 8.524
P 1.291 -2.801 11.918
P 3.113 -0.278 8.524
P 1.781 2.518 11.918
O -1.125 -3.955 8.342
O -2.599 -2.400 9.815
O -3.870 -1.063 12.015
O -1.786 -0.157 6.359
O -3.285 1.051 10.600
O -0.684 -1.483 8.564
O -2.863 2.952 8.342
O 1.029 -1.469 6.359
O 0.732 -3.370 10.600
O -1.540 -0.172 11.874
O -0.942 1.334 8.564
O 0.758 1.625 6.359
O -0.724 -1.493 14.097
O 0.918 -1.248 11.874
O 1.626 0.149 8.564
O -0.779 3.450 9.815
O -0.931 1.373 14.097
O 2.855 -2.820 12.015
O 0.621 1.419 11.874
O 3.377 -1.051 9.815
O 1.655 0.120 14.097
O 3.988 1.003 8.342
O 1.015 3.883 12.015
O 2.553 2.319 10.600
```